Structure and simulated XRD peak list of InGaCuAgTe4 (DFT lattice parameters and positions (GGA-PBE); copper Kα).

Principal peaks in the range 10° ≤ 2θ ≤ 90°, by angle:
Position (°2θ)  I/Imax  hkl
24.42  100  1 1 2
40.12  25  2 2 0
40.55  50  2 0 4
47.53  30  3 1 2
48.27  16  1 1 6
58.03  8  4 0 0
64.51  13  3 1 6
73.18  15  2 4 4
74.05  8  2 2 8
78.19  6  1 5 2

Crystal structure
abc: 6.3571 6.3571 12.4619
angles: 90.00 90.00 90.00
Sites, in units of the cell vectors:
In 0.0000 0.0000 0.0000
In 0.5000 0.5000 0.5000
Ga 0.0000 0.5000 0.7500
Ga 0.5000 0.0000 0.2500
Cu 0.0000 0.0000 0.5000
Cu 0.5000 0.5000 0.0000
Ag 0.0000 0.5000 0.2500
Ag 0.5000 0.0000 0.7500
Te 0.2242 0.7587 0.6248
Te 0.2413 0.2242 0.3752
Te 0.2587 0.2758 0.8752
Te 0.2758 0.7413 0.1248
Te 0.7242 0.2587 0.1248
Te 0.7413 0.7242 0.8752
Te 0.7587 0.7758 0.3752
Te 0.7758 0.2413 0.6248